Structure and simulated PXRD pattern of Rb3Mo2Cl9 (DFT lattice parameters and positions (PBE); λ = 1.5418 Å (Cu Kα)).
Neutral-atom scattering factors, no anomalous dispersion.

a b c (Å): 7.3310 7.3310 17.8451
angles (deg): 90.00 90.00 120.00
Space group P6_3/mmc (No. 194)
One atom of each set of equivalent atoms:
Rb: 0.0000 0.0000 0.2500
Rb: 0.3333 0.6667 0.0672
Mo: 0.3333 0.6667 0.6721
Cl: 0.0075 0.5037 0.7500
Cl: 0.1773 0.3546 0.5946

Peak list (10 most intense, 5 to 70 degrees two-theta, by intensity)
| 2θ (°) | I/Imax |
| --- | --- |
| 14.81 | 100.0 |
| 24.28 | 100.0 |
| 31.96 | 94.8 |
| 34.68 | 65.5 |
| 28.69 | 64.6 |
| 49.75 | 63.2 |
| 29.88 | 55.9 |
| 37.93 | 42.4 |
| 13.95 | 41.3 |
| 45.55 | 40.8 |